Record 1
Structure and computed powder diffractogram of Np2U2Ni15 (a structure optimized by DFT (GGA-PBE); Cu Kα (λ = 1.5418 Å)).

Largest 10 diffraction maxima, in order of rising 2θ, 2θ = 15–90°:
2θ/deg  I (rel.)
21.06  51
30.97  40
36.91  59
37.77  40
42.91  100
43.64  46
53.83  17
62.84  15
78.56  18
79.05  20

a = 6.425 Å, b = 6.425 Å, c = 6.425 Å
α = 82.06°, β = 82.06°, γ = 82.06°
Sites, in units of the cell vectors:
Np: 0.145 0.145 0.145
Np: 0.855 0.855 0.855
U: 0.399 0.399 0.399
U: 0.601 0.601 0.601
Ni: 0.000 0.500 0.500
Ni: 0.156 0.156 0.667
Ni: 0.156 0.667 0.156
Ni: 0.181 0.500 0.819
Ni: 0.181 0.819 0.500
Ni: 0.333 0.844 0.844
Ni: 0.500 0.000 0.500
Ni: 0.500 0.181 0.819
Ni: 0.500 0.500 0.000
Ni: 0.500 0.819 0.181
Ni: 0.667 0.156 0.156
Ni: 0.819 0.181 0.500
Ni: 0.819 0.500 0.181
Ni: 0.844 0.333 0.844
Ni: 0.844 0.844 0.333

Record 2
Structure and computed powder diffractogram of Pm2Er2Ga3 (a structure optimized by DFT (GGA-PBE); Cu Kα (λ = 1.5418 Å)).

Largest 10 diffraction maxima, in order of rising 2θ, 2θ = 15–90°:
2θ/deg  I (rel.)
28.62  34
29.06  49
29.65  35
30.30  100
31.72  96
32.24  48
32.45  53
34.63  96
39.23  73
42.76  34

a = 3.981 Å, b = 5.621 Å, c = 8.229 Å
α = 98.68°, β = 94.06°, γ = 91.33°
Sites, in units of the cell vectors:
Pm: 0.228 0.039 0.174
Pm: 0.772 0.961 0.826
Er: 0.302 0.419 0.679
Er: 0.698 0.581 0.321
Ga: 0.000 0.500 0.000
Ga: 0.245 0.872 0.538
Ga: 0.755 0.128 0.462

Record 3
Structure and computed powder diffractogram of CsK2IBr4 (a structure optimized by DFT (GGA-PBE); Cu Kα (λ = 1.5418 Å)).

Largest 10 diffraction maxima, in order of rising 2θ, 2θ = 15–90°:
2θ/deg  I (rel.)
19.89  38
23.46  93
24.49  100
26.11  40
27.09  65
34.17  62
35.83  20
36.13  43
37.82  36
44.99  31

a = 10.049 Å, b = 10.049 Å, c = 9.562 Å
α = 115.23°, β = 115.23°, γ = 97.99°
Sites, in units of the cell vectors:
Cs: 0.000 0.000 0.000
Cs: 0.000 0.000 0.500
K: 0.000 0.500 0.000
K: 0.500 0.000 0.500
K: 0.500 0.500 0.000
K: 0.500 0.500 0.500
I: 0.000 0.500 0.500
I: 0.500 0.000 0.000
Br: 0.194 0.671 0.449
Br: 0.225 0.308 0.010
Br: 0.308 0.225 0.510
Br: 0.329 0.806 0.051
Br: 0.671 0.194 0.949
Br: 0.692 0.775 0.490
Br: 0.775 0.692 0.990
Br: 0.806 0.329 0.551